Starting from the GGA-PBE geometry in Alexandria, the powder diffractogram of Th2PdRh4 was calculated for Cu Kα (weighted mean of Kα1 and Kα2).

```
data_Th2PdRh4
_space_group_name_H-M_alt 'P 1'
_space_group_IT_number 1
_cell_length_a 5.7056
_cell_length_b 5.7056
_cell_length_c 9.6618
_cell_angle_alpha 90.00
_cell_angle_beta 90.00
_cell_angle_gamma 58.05
loop_
_space_group_symop_operation_xyz
'x,y,z'
loop_
_atom_site_label
_atom_site_fract_x
_atom_site_fract_y
_atom_site_fract_z
_atom_site_occupancy
Th1 0.1568 0.1568 0.0000 1
Th2 0.3432 0.3432 0.5000 1
Th3 0.6568 0.6568 0.5000 1
Th4 0.8432 0.8432 0.0000 1
Pd1 0.0000 0.0000 0.5000 1
Pd2 0.5000 0.5000 0.0000 1
Rh1 0.1520 0.3480 0.7500 1
Rh2 0.1798 0.8202 0.7649 1
Rh3 0.3202 0.6798 0.2649 1
Rh4 0.3480 0.1520 0.2500 1
Rh5 0.6520 0.8480 0.7500 1
Rh6 0.6798 0.3202 0.7351 1
Rh7 0.8202 0.1798 0.2351 1
Rh8 0.8480 0.6520 0.2500 1
```

Most intense lines, 5° ≤ 2θ ≤ 70°, by angle:
2θ = 20.52°, d 4.328, I 22.4
2θ = 32.75°, d 2.735, I 100.0
2θ = 37.21°, d 2.416, I 65.8
2θ = 37.44°, d 2.402, I 45.8
2θ = 38.33°, d 2.348, I 29.5
2θ = 40.71°, d 2.216, I 37.0
2θ = 42.34°, d 2.135, I 56.3
2θ = 68.65°, d 1.367, I 24.8

Starting from the GGA-PBE geometry in Alexandria, the powder diffractogram of Th3MnCo8 was calculated for Cu Kα (weighted mean of Kα1 and Kα2).

```
data_Th3MnCo8
_space_group_name_H-M_alt 'P 1'
_space_group_IT_number 1
_cell_length_a 8.8052
_cell_length_b 8.8052
_cell_length_c 8.8052
_cell_angle_alpha 33.24
_cell_angle_beta 33.24
_cell_angle_gamma 33.24
loop_
_space_group_symop_operation_xyz
'x,y,z'
loop_
_atom_site_label
_atom_site_fract_x
_atom_site_fract_y
_atom_site_fract_z
_atom_site_occupancy
Th1 0.0000 0.0000 0.0000 1
Th2 0.1301 0.1301 0.1301 1
Th3 0.5169 0.5169 0.5169 1
Mn1 0.6373 0.6373 0.6373 1
Co1 0.0630 0.5682 0.5682 1
Co2 0.0718 0.0718 0.5710 1
Co3 0.0718 0.5710 0.0718 1
Co4 0.3180 0.3180 0.3180 1
Co5 0.5682 0.0630 0.5682 1
Co6 0.5682 0.5682 0.0630 1
Co7 0.5710 0.0718 0.0718 1
Co8 0.8194 0.8194 0.8194 1
```

Most intense lines, 5° ≤ 2θ ≤ 70°, by angle:
2θ = 21.58°, d 4.117, I 40.9
2θ = 35.40°, d 2.536, I 69.4
2θ = 35.65°, d 2.518, I 77.4
2θ = 41.73°, d 2.165, I 52.9
2θ = 41.95°, d 2.154, I 100.0
2θ = 42.06°, d 2.148, I 55.7
2θ = 63.87°, d 1.457, I 25.8
2θ = 68.19°, d 1.375, I 24.2

Starting from the GGA-PBE geometry in Alexandria, the powder diffractogram of Na4Sr3Hg4 was calculated for Cu Kα (weighted mean of Kα1 and Kα2).

```
data_Na4Sr3Hg4
_space_group_name_H-M_alt 'P 1'
_space_group_IT_number 1
_cell_length_a 10.0163
_cell_length_b 10.0163
_cell_length_c 10.0163
_cell_angle_alpha 153.70
_cell_angle_beta 125.45
_cell_angle_gamma 61.54
loop_
_space_group_symop_operation_xyz
'x,y,z'
loop_
_atom_site_label
_atom_site_fract_x
_atom_site_fract_y
_atom_site_fract_z
_atom_site_occupancy
Na1 0.0171 0.8286 0.1885 1
Na2 0.3598 0.1714 0.1885 1
Na3 0.6402 0.8286 0.8115 1
Na4 0.9829 0.1714 0.8115 1
Sr1 0.0000 0.5000 0.5000 1
Sr2 0.3884 0.3884 0.0000 1
Sr3 0.6116 0.6116 0.0000 1
Hg1 0.2411 0.7411 0.5000 1
Hg2 0.3040 0.0000 0.3040 1
Hg3 0.6960 0.0000 0.6960 1
Hg4 0.7589 0.2589 0.5000 1
```

Most intense lines, 5° ≤ 2θ ≤ 70°, by angle:
2θ = 20.64°, d 4.303, I 44.4
2θ = 21.77°, d 4.082, I 28.7
2θ = 21.95°, d 4.050, I 51.7
2θ = 28.07°, d 3.179, I 66.7
2θ = 30.18°, d 2.962, I 100.0
2θ = 36.91°, d 2.435, I 76.6
2θ = 39.54°, d 2.279, I 26.2
2θ = 58.27°, d 1.583, I 29.1